Diffraction record for AcGe12Rh4. The powder diffraction line list is theoretical, not measured: it uses a structure optimized by DFT (PBE) and Cu Kα (weighted mean of Kα1 and Kα2).
Kinematic intensities with the Lorentz-polarization factor, no thermal factor.

Top 10 peaks for 10° ≤ 2θ ≤ 90°, by intensity:
d/Å  Rel. int.  hkl
2.751  100  3 1 0
2.325  58  3 2 1
1.776  52  4 2 2
1.706  43  4 1 3
3.075  42  2 2 0
1.945  21  4 2 0
1.375  16  6 0 2
1.283  15  6 3 1
1.256  11  4 4 4
1.105  11  7 3 2

Crystal structure
```
data_AcGe12Rh4
_cell_length_a 8.699
_cell_length_b 8.699
_cell_length_c 8.699
_cell_angle_alpha 90.00
_cell_angle_beta 90.00
_cell_angle_gamma 90.00
_space_group_name_H-M_alt 'I m -3'
_space_group_IT_number 204
_space_group_name_Hall '-I 2 2 3'
loop_
_atom_site_label
_atom_site_fract_x
_atom_site_fract_y
_atom_site_fract_z
Ac1 0.000 0.000 0.000
Ge1 0.000 0.156 0.353
Rh1 0.250 0.250 0.250
```